No. 1
Theoretical XRD peak list of Li3CoPCO7 for copper Kα, from DFT lattice parameters and positions (GGA+U).
Kinematic intensities with the Lorentz-polarization factor, no thermal factor.

Largest 8 diffraction maxima, by angle, 2θ = 10–80°:
2θ (°)	I (rel.)
10.52	99
21.57	35
22.63	29
25.67	43
26.59	37
27.61	100
36.23	30
36.90	34

Structure:
```
data_Li3CoPCO7
_space_group_name_H-M_alt 'P 1'
_space_group_IT_number 1
_space_group_name_Hall 'P 1'
_cell_length_a 4.9776
_cell_length_b 8.4407
_cell_length_c 12.9216
_cell_angle_alpha 90.31
_cell_angle_beta 90.05
_cell_angle_gamma 94.94
loop_
_atom_site_label
_atom_site_type_symbol
_atom_site_fract_x
_atom_site_fract_y
_atom_site_fract_z
_atom_site_occupancy
Li1 Li 0.0000 0.0000 0.0000 1
Li2 Li 0.0007 0.0013 0.5073 1
Li3 Li 0.4556 0.4470 0.9978 1
Li4 Li 0.4660 0.2007 0.7585 1
Li5 Li 0.4695 0.1971 0.2538 1
Li6 Li 0.4796 0.8182 0.1106 1
Li7 Li 0.4817 0.8201 0.3930 1
Li8 Li 0.4837 0.8192 0.8919 1
Li9 Li 0.4844 0.8238 0.6223 1
Li10 Li 0.9826 0.3722 0.3767 1
Li11 Li 0.9867 0.3781 0.6440 1
Li12 Li 0.9990 0.3797 0.8691 1
Co1 Co 0.0260 0.7660 0.7546 1
Co2 Co 0.0279 0.7655 0.2535 1
Co3 Co 0.4433 0.4315 0.5053 1
Co4 Co 0.9882 0.3604 0.1256 1
P1 P 0.5075 0.5119 0.2528 1
P2 P 0.5118 0.5107 0.7549 1
P3 P 0.9496 0.6854 0.0058 1
P4 P 0.9542 0.6861 0.5032 1
C1 C 0.5297 0.1394 0.0105 1
C2 C 0.5328 0.1363 0.5021 1
C3 C 0.9372 0.0608 0.7537 1
C4 C 0.9392 0.0618 0.2518 1
O1 O 0.0564 0.5184 0.0054 1
O2 O 0.0583 0.7891 0.4090 1
O3 O 0.0600 0.5195 0.5031 1
O4 O 0.0599 0.7911 0.5965 1
O5 O 0.0620 0.7868 0.9120 1
O6 O 0.0619 0.7900 0.0994 1
O7 O 0.1850 0.0262 0.7536 1
O8 O 0.1856 0.0284 0.2550 1
O9 O 0.2812 0.1699 0.0109 1
O10 O 0.2856 0.1720 0.5028 1
O11 O 0.3912 0.4091 0.1604 1
O12 O 0.4064 0.6784 0.7533 1
O13 O 0.4077 0.4073 0.6594 1
O14 O 0.4105 0.4087 0.8474 1
O15 O 0.4115 0.6804 0.2558 1
O16 O 0.4138 0.4094 0.3484 1
O17 O 0.5950 0.9905 0.5037 1
O18 O 0.5966 0.9936 0.0036 1
O19 O 0.6405 0.6663 0.5026 1
O20 O 0.6396 0.6709 0.0060 1
O21 O 0.7218 0.2558 0.0144 1
O22 O 0.7234 0.2532 0.4996 1
O23 O 0.7467 0.9497 0.2547 1
O24 O 0.7486 0.9423 0.7538 1
O25 O 0.8239 0.5271 0.2458 1
O26 O 0.8272 0.5326 0.7526 1
O27 O 0.8724 0.2059 0.7541 1
O28 O 0.8788 0.2112 0.2466 1
```


No. 2
Theoretical XRD peak list of Li3CoPCO7 for copper Kα, from DFT lattice parameters and positions (GGA+U).
Kinematic intensities with the Lorentz-polarization factor, no thermal factor.

Largest 8 diffraction maxima, by angle, 2θ = 10–80°:
2θ (°)	I (rel.)
10.27	33
16.69	88
19.18	38
20.08	44
24.68	37
24.96	33
26.09	43
35.04	100

Structure:
```
data_Li3CoPCO7
_space_group_name_H-M_alt 'P 1 21/c 1'
_space_group_IT_number 14
_space_group_name_Hall '-P 2ybc'
_cell_length_a 8.6497
_cell_length_b 6.3703
_cell_length_c 9.6670
_cell_angle_alpha 90.00
_cell_angle_beta 95.26
_cell_angle_gamma 90.00
loop_
_atom_site_label
_atom_site_type_symbol
_atom_site_fract_x
_atom_site_fract_y
_atom_site_fract_z
_atom_site_occupancy
Li1 Li 0.1131 0.2416 0.3553 1
Li2 Li 0.2812 0.5070 0.6228 1
Li3 Li 0.3609 0.7497 0.3625 1
Co1 Co 0.2605 0.0032 0.6218 1
P1 P 0.4069 0.2378 0.3864 1
C1 C 0.0478 0.7457 0.9018 1
O1 O 0.0644 0.7304 0.2734 1
O2 O 0.0925 0.2181 0.5561 1
O3 O 0.1661 0.7481 0.4953 1
O4 O 0.3058 0.0527 0.3277 1
O5 O 0.3154 0.0619 0.8329 1
O6 O 0.4134 0.2339 0.5490 1
O7 O 0.4257 0.7387 0.1570 1
```


No. 3
Theoretical XRD peak list of Li3CoPCO7 for copper Kα, from DFT lattice parameters and positions (GGA+U).
Kinematic intensities with the Lorentz-polarization factor, no thermal factor.

Largest 8 diffraction maxima, by angle, 2θ = 10–80°:
2θ (°)	I (rel.)
10.44	37
17.13	100
23.43	41
24.51	27
25.85	39
33.51	25
35.21	97
36.64	25

Structure:
```
data_Li3CoPCO7
_space_group_name_H-M_alt 'P 1 21/c 1'
_space_group_IT_number 14
_space_group_name_Hall '-P 2ybc'
_cell_length_a 9.4485
_cell_length_b 6.3907
_cell_length_c 9.8475
_cell_angle_alpha 90.00
_cell_angle_beta 116.31
_cell_angle_gamma 90.00
loop_
_atom_site_label
_atom_site_type_symbol
_atom_site_fract_x
_atom_site_fract_y
_atom_site_fract_z
_atom_site_occupancy
Li1 Li 0.0983 0.2491 0.1814 1
Li2 Li 0.2792 0.0130 0.5084 1
Li3 Li 0.3465 0.7469 0.8132 1
Co1 Co 0.2758 0.0062 0.0114 1
P1 P 0.4087 0.2476 0.3143 1
C1 C 0.0383 0.7414 0.6216 1
O1 O 0.0689 0.7476 0.2608 1
O2 O 0.1107 0.2374 0.9849 1
O3 O 0.1485 0.7385 0.5770 1
O4 O 0.3099 0.0590 0.8207 1
O5 O 0.3141 0.0567 0.3216 1
O6 O 0.4209 0.2479 0.1611 1
O7 O 0.4206 0.7447 0.5544 1
```


No. 4
Theoretical XRD peak list of Li3CoPCO7 for copper Kα, from DFT lattice parameters and positions (GGA+U).
Kinematic intensities with the Lorentz-polarization factor, no thermal factor.

Largest 8 diffraction maxima, by angle, 2θ = 10–80°:
2θ (°)	I (rel.)
10.32	28
17.33	100
22.88	24
22.95	25
24.49	29
25.87	36
29.93	27
35.07	73

Structure:
```
data_Li3CoPCO7
_space_group_name_H-M_alt 'P 1'
_space_group_IT_number 1
_space_group_name_Hall 'P 1'
_cell_length_a 4.9099
_cell_length_b 8.6082
_cell_length_c 12.7583
_cell_angle_alpha 90.06
_cell_angle_beta 90.17
_cell_angle_gamma 95.16
loop_
_atom_site_label
_atom_site_type_symbol
_atom_site_fract_x
_atom_site_fract_y
_atom_site_fract_z
_atom_site_occupancy
Li1 Li 0.0000 0.0000 0.0000 1
Li2 Li 0.9997 0.9996 0.5003 1
Li3 Li 0.0023 0.7494 0.2622 1
Li4 Li 0.0025 0.7501 0.7611 1
Li5 Li 0.0297 0.3566 0.1246 1
Li6 Li 0.0296 0.3569 0.6245 1
Li7 Li 0.5374 0.9239 0.8682 1
Li8 Li 0.5382 0.9238 0.3685 1
Li9 Li 0.5592 0.5314 0.5141 1
Li10 Li 0.5614 0.2834 0.7506 1
Li11 Li 0.5608 0.5302 0.0133 1
Li12 Li 0.5616 0.2829 0.2503 1
Co1 Co 0.0379 0.3763 0.3784 1
Co2 Co 0.0415 0.3811 0.8806 1
Co3 Co 0.5235 0.9099 0.6269 1
Co4 Co 0.5251 0.9082 0.1270 1
P1 P 0.0559 0.0491 0.7544 1
P2 P 0.0576 0.0487 0.2541 1
P3 P 0.5070 0.2320 0.5026 1
P4 P 0.5075 0.2316 0.0020 1
C1 C 0.0780 0.6814 0.5113 1
C2 C 0.0776 0.6824 0.0112 1
C3 C 0.4833 0.5982 0.7594 1
C4 C 0.4828 0.5988 0.2594 1
O1 O 0.1557 0.5387 0.5010 1
O2 O 0.1568 0.5396 0.9999 1
O3 O 0.1879 0.2252 0.9938 1
O4 O 0.1876 0.2256 0.4942 1
O5 O 0.2662 0.7975 0.0195 1
O6 O 0.2674 0.7965 0.5204 1
O7 O 0.2940 0.4823 0.2642 1
O8 O 0.2953 0.4809 0.7629 1
O9 O 0.3753 0.0546 0.7447 1
O10 O 0.3767 0.0552 0.2445 1
O11 O 0.4052 0.7408 0.7518 1
O12 O 0.4053 0.7416 0.2512 1
O13 O 0.5900 0.0618 0.0020 1
O14 O 0.5899 0.0622 0.5017 1
O15 O 0.6105 0.3276 0.0989 1
O16 O 0.6106 0.3278 0.5992 1
O17 O 0.6303 0.3254 0.4064 1
O18 O 0.6299 0.3260 0.9064 1
O19 O 0.7358 0.5759 0.2603 1
O20 O 0.7369 0.5758 0.7613 1
O21 O 0.8248 0.7043 0.0118 1
O22 O 0.8256 0.7050 0.5102 1
O23 O 0.9295 0.9578 0.6574 1
O24 O 0.9302 0.9586 0.1571 1
O25 O 0.9569 0.9496 0.8498 1
O26 O 0.9580 0.9498 0.3496 1
O27 O 0.9728 0.2182 0.7566 1
O28 O 0.9747 0.2181 0.2558 1
```


No. 5
Theoretical XRD peak list of Li3CoPCO7 for copper Kα, from DFT lattice parameters and positions (GGA+U).
Kinematic intensities with the Lorentz-polarization factor, no thermal factor.

Largest 8 diffraction maxima, by angle, 2θ = 10–80°:
2θ (°)	I (rel.)
10.53	100
19.96	34
21.49	35
25.58	43
26.63	37
27.66	97
35.08	28
36.83	31

Structure:
```
data_Li3CoPCO7
_space_group_name_H-M_alt 'P 1'
_space_group_IT_number 1
_space_group_name_Hall 'P 1'
_cell_length_a 6.4500
_cell_length_b 8.4313
_cell_length_c 9.9831
_cell_angle_alpha 85.30
_cell_angle_beta 89.76
_cell_angle_gamma 89.88
loop_
_atom_site_label
_atom_site_type_symbol
_atom_site_fract_x
_atom_site_fract_y
_atom_site_fract_z
_atom_site_occupancy
Li1 Li 0.0000 0.0000 0.0000 1
Li2 Li 0.0004 0.0113 0.5109 1
Li3 Li 0.2218 0.1880 0.7516 1
Li4 Li 0.2248 0.1884 0.2427 1
Li5 Li 0.2641 0.6354 0.9889 1
Li6 Li 0.5022 0.8119 0.2366 1
Li7 Li 0.5071 0.8122 0.7450 1
Li8 Li 0.7364 0.6352 0.9884 1
Li9 Li 0.7454 0.6331 0.5130 1
Li10 Li 0.7748 0.1875 0.2440 1
Li11 Li 0.7807 0.1887 0.7518 1
Li12 Li 0.9938 0.5676 0.7427 1
Co1 Co 0.2559 0.6376 0.5117 1
Co2 Co 0.4998 0.2432 0.0176 1
Co3 Co 0.5007 0.2424 0.5213 1
Co4 Co 0.9995 0.5763 0.2233 1
P1 P 0.0003 0.3219 0.9834 1
P2 P 0.0035 0.3242 0.4801 1
P3 P 0.4981 0.4982 0.2637 1
P4 P 0.5046 0.4967 0.7606 1
C1 C 0.0043 0.8712 0.7695 1
C2 C 0.0041 0.8724 0.2735 1
C3 C 0.4958 0.9459 0.4765 1
C4 C 0.5008 0.9469 0.9749 1
O1 O 0.0000 0.0207 0.7987 1
O2 O 0.0002 0.4903 0.0352 1
O3 O 0.9998 0.8380 0.1503 1
O4 O 0.0007 0.3387 0.8288 1
O5 O 0.0021 0.3418 0.3235 1
O6 O 0.0026 0.0170 0.3074 1
O7 O 0.0028 0.7606 0.8672 1
O8 O 0.0070 0.4916 0.5330 1
O9 O 0.0080 0.7530 0.3673 1
O10 O 0.0090 0.8380 0.6454 1
O11 O 0.1876 0.2184 0.0384 1
O12 O 0.1887 0.2179 0.5323 1
O13 O 0.3112 0.5969 0.7094 1
O14 O 0.3123 0.6021 0.2098 1
O15 O 0.4826 0.7982 0.4432 1
O16 O 0.4911 0.4808 0.4222 1
O17 O 0.4985 0.4766 0.9176 1
O18 O 0.4976 0.9785 0.5997 1
O19 O 0.5001 0.3301 0.2138 1
O20 O 0.4999 0.9839 0.0982 1
O21 O 0.5010 0.3279 0.7091 1
O22 O 0.5009 0.8003 0.9449 1
O23 O 0.5018 0.0627 0.8798 1
O24 O 0.5091 0.0602 0.3818 1
O25 O 0.6872 0.6013 0.2136 1
O26 O 0.6904 0.5993 0.7103 1
O27 O 0.8121 0.2196 0.0389 1
O28 O 0.8136 0.2253 0.5348 1
```


No. 6
Theoretical XRD peak list of Li3CoPCO7 for copper Kα, from DFT lattice parameters and positions (GGA+U).
Kinematic intensities with the Lorentz-polarization factor, no thermal factor.

Largest 8 diffraction maxima, by angle, 2θ = 10–80°:
2θ (°)	I (rel.)
10.51	100
19.92	19
21.59	25
25.77	21
26.50	24
27.66	71
36.20	20
36.83	28

Structure:
```
data_Li3CoPCO7
_space_group_name_H-M_alt 'P 1'
_space_group_IT_number 1
_space_group_name_Hall 'P 1'
_cell_length_a 6.4494
_cell_length_b 8.4554
_cell_length_c 9.9656
_cell_angle_alpha 95.17
_cell_angle_beta 90.32
_cell_angle_gamma 90.34
loop_
_atom_site_label
_atom_site_type_symbol
_atom_site_fract_x
_atom_site_fract_y
_atom_site_fract_z
_atom_site_occupancy
Li1 Li 0.0000 0.0000 0.0000 1
Li2 Li 0.9996 0.0073 0.4936 1
Li3 Li 0.2355 0.1744 0.7498 1
Li4 Li 0.2374 0.1743 0.2716 1
Li5 Li 0.2711 0.6170 0.5087 1
Li6 Li 0.2746 0.6215 0.0095 1
Li7 Li 0.4931 0.7995 0.2665 1
Li8 Li 0.4933 0.8070 0.7685 1
Li9 Li 0.4988 0.2394 0.4913 1
Li10 Li 0.7306 0.6240 0.0114 1
Li11 Li 0.7554 0.1725 0.2697 1
Li12 Li 0.7627 0.1764 0.7493 1
Co1 Co 0.0048 0.5602 0.2760 1
Co2 Co 0.4999 0.2306 0.9896 1
Co3 Co 0.7354 0.6304 0.5130 1
Co4 Co 0.9994 0.5623 0.7813 1
P1 P 0.0002 0.3109 0.0223 1
P2 P 0.4987 0.4808 0.2457 1
P3 P 0.5021 0.4883 0.7462 1
P4 P 0.9955 0.3082 0.5237 1
C1 C 0.4996 0.9370 0.0361 1
C2 C 0.5015 0.9361 0.5336 1
C3 C 0.9927 0.8590 0.7314 1
C4 C 0.9962 0.8600 0.2353 1
O1 O 0.0003 0.8266 0.8549 1
O2 O 0.0008 0.0055 0.2048 1
O3 O 0.0032 0.4783 0.9714 1
O4 O 0.1868 0.2068 0.9705 1
O5 O 0.1886 0.2144 0.4745 1
O6 O 0.3124 0.5914 0.7949 1
O7 O 0.3149 0.5895 0.2974 1
O8 O 0.4938 0.0439 0.6324 1
O9 O 0.4959 0.3173 0.2977 1
O10 O 0.4969 0.3206 0.7953 1
O11 O 0.4967 0.9726 0.9125 1
O12 O 0.4976 0.7906 0.0662 1
O13 O 0.4998 0.9637 0.4103 1
O14 O 0.5039 0.0533 0.1311 1
O15 O 0.5045 0.4675 0.0886 1
O16 O 0.5090 0.7841 0.5657 1
O17 O 0.5136 0.4731 0.5889 1
O18 O 0.6876 0.5921 0.8043 1
O19 O 0.6887 0.5858 0.3029 1
O20 O 0.8075 0.2063 0.4733 1
O21 O 0.8120 0.2073 0.9684 1
O22 O 0.9863 0.7362 0.6381 1
O23 O 0.9912 0.7427 0.1403 1
O24 O 0.9924 0.4791 0.4716 1
O25 O 0.9952 0.0015 0.6956 1
O26 O 0.9956 0.3333 0.6817 1
O27 O 0.9978 0.8248 0.3598 1
O28 O 0.9987 0.3319 0.1797 1
```